1.
This entry pairs a crystal structure of PmPaPtO6 with its calculated powder diffractogram. Radiation: a wavelength of 1.5418 Å. Structure: a cell relaxed with GGA-PBE.
Intensities are scaled so that the largest is 100.

Top 8 peaks for 10 to 80 degrees two-theta, by angle:
d 3.567, 2θ 25.0, intensity 100
d 2.836, 2θ 31.5, intensity 93
d 2.523, 2θ 35.6, intensity 29
d 1.885, 2θ 48.3, intensity 71
d 1.595, 2θ 57.8, intensity 18
d 1.546, 2θ 59.8, intensity 18
d 1.510, 2θ 61.4, intensity 20
d 1.296, 2θ 73.0, intensity 17

Lattice parameters (Å, degrees): 5.045 5.045 10.290 90.00 90.00 90.00
Space group P4_2nm (No. 102)
Symmetry-distinct sites (fractional):
Pm 0.000 0.000 0.000 (multiplicity 2)
Pa 0.000 0.000 0.665 (multiplicity 2)
Pt 0.000 0.000 0.329 (multiplicity 2)
O 0.176 0.176 0.488 (multiplicity 4)
O 0.194 0.194 0.181 (multiplicity 4)
O 0.211 0.211 0.818 (multiplicity 4)

2.
This entry pairs a crystal structure of Pm2PaPtO8 with its calculated powder diffractogram. Radiation: a wavelength of 1.5418 Å. Structure: a cell relaxed with GGA-PBE.
Intensities are scaled so that the largest is 100.

Top 8 peaks for 10 to 80 degrees two-theta, by angle:
d 3.680, 2θ 24.2, intensity 59
d 3.588, 2θ 24.8, intensity 52
d 2.872, 2θ 31.1, intensity 100
d 2.569, 2θ 34.9, intensity 31
d 1.928, 2θ 47.1, intensity 41
d 1.901, 2θ 47.8, intensity 36
d 1.537, 2θ 60.2, intensity 11
d 1.436, 2θ 64.9, intensity 11

Lattice parameters (Å, degrees): 5.133 5.145 6.926 90.01 90.01 91.45
Space group P-1 (No. 2)
Symmetry-distinct sites (fractional):
Pm 0.001 0.001 0.259 (multiplicity 2)
Pa 0.500 0.500 0.000 (multiplicity 1)
Pt 0.500 0.500 0.500 (multiplicity 1)
O 0.205 0.204 0.000 (multiplicity 2)
O 0.226 0.225 0.501 (multiplicity 2)
O 0.322 0.675 0.267 (multiplicity 2)
O 0.323 0.677 0.733 (multiplicity 2)

3.
This entry pairs a crystal structure of Pm2PaSnO8 with its calculated powder diffractogram. Radiation: a wavelength of 1.5418 Å. Structure: a cell relaxed with GGA-PBE.
Intensities are scaled so that the largest is 100.

Top 8 peaks for 10 to 80 degrees two-theta, by angle:
d 3.376, 2θ 26.4, intensity 64
d 3.109, 2θ 28.7, intensity 100
d 3.078, 2θ 29.0, intensity 49
d 2.738, 2θ 32.7, intensity 69
d 2.005, 2θ 45.2, intensity 41
d 1.985, 2θ 45.7, intensity 19
d 1.875, 2θ 48.6, intensity 31
d 1.646, 2θ 55.8, intensity 32

Lattice parameters (Å, degrees): 5.512 3.774 7.979 90.00 95.57 90.00
Space group P2/m (No. 10)
Symmetry-distinct sites (fractional):
Pm 0.017 0.000 0.252 (multiplicity 2)
Pa 0.500 0.500 0.000 (multiplicity 1)
Sn 0.500 0.500 0.500 (multiplicity 1)
O 0.225 0.500 0.787 (multiplicity 2)
O 0.268 0.000 0.021 (multiplicity 2)
O 0.273 0.000 0.524 (multiplicity 2)
O 0.306 0.500 0.270 (multiplicity 2)

4.
This entry pairs a crystal structure of PmPaTlO6 with its calculated powder diffractogram. Radiation: a wavelength of 1.5418 Å. Structure: a cell relaxed with GGA-PBE.
Intensities are scaled so that the largest is 100.

Top 8 peaks for 10 to 80 degrees two-theta, by angle:
d 3.492, 2θ 25.5, intensity 100
d 2.884, 2θ 31.0, intensity 52
d 2.224, 2θ 40.6, intensity 30
d 1.864, 2θ 48.9, intensity 41
d 1.761, 2θ 51.9, intensity 30
d 1.665, 2θ 55.2, intensity 16
d 1.333, 2θ 70.7, intensity 12
d 1.242, 2θ 76.8, intensity 11

Lattice parameters (Å, degrees): 5.7676 5.7676 4.8849 90.00 90.00 120.00
Space group P312 (No. 149)
Symmetry-distinct sites (fractional):
Pm 0.0000 0.0000 0.0000 (multiplicity 1)
Pa 0.3333 0.6667 0.5000 (multiplicity 1)
Tl 0.6667 0.3333 0.0000 (multiplicity 1)
O 0.0165 0.3578 0.7497 (multiplicity 6)

5.
This entry pairs a crystal structure of PmPaZnO6 with its calculated powder diffractogram. Radiation: a wavelength of 1.5418 Å. Structure: a cell relaxed with GGA-PBE.
Intensities are scaled so that the largest is 100.

Top 8 peaks for 10 to 80 degrees two-theta, by angle:
d 4.752, 2θ 18.7, intensity 16
d 3.416, 2θ 26.1, intensity 100
d 2.743, 2θ 32.6, intensity 38
d 2.139, 2θ 42.3, intensity 28
d 1.830, 2θ 49.8, intensity 35
d 1.687, 2θ 54.4, intensity 27
d 1.584, 2θ 58.3, intensity 12
d 1.273, 2θ 74.6, intensity 11

Lattice parameters (Å, degrees): 5.4867 5.4867 4.9138 90.00 90.00 120.00
Space group P312 (No. 149)
Symmetry-distinct sites (fractional):
Pm 0.0000 0.0000 0.0000 (multiplicity 1)
Pa 0.6667 0.3333 0.5000 (multiplicity 1)
Zn 0.3333 0.6667 0.0000 (multiplicity 1)
O 0.0006 0.3663 0.2441 (multiplicity 6)

6.
This entry pairs a crystal structure of PrPaO4 with its calculated powder diffractogram. Radiation: a wavelength of 1.5418 Å. Structure: a cell relaxed with GGA-PBE.
Intensities are scaled so that the largest is 100.

Top 8 peaks for 10 to 80 degrees two-theta, by angle:
d 3.185, 2θ 28.0, intensity 100
d 2.773, 2θ 32.3, intensity 23
d 2.730, 2θ 32.8, intensity 11
d 1.961, 2θ 46.3, intensity 17
d 1.945, 2θ 46.7, intensity 34
d 1.670, 2θ 55.0, intensity 31
d 1.651, 2θ 55.7, intensity 16
d 1.263, 2θ 75.2, intensity 13

Lattice parameters (Å, degrees): 5.546 5.546 10.919 90.00 90.00 90.00
Space group I4_1/amd (No. 141, origin choice 2)
Symmetry-distinct sites (fractional):
Pr 0.000 0.250 0.375 (multiplicity 4)
Pa 0.000 0.250 0.875 (multiplicity 4)
O 0.228 0.000 0.000 (multiplicity 16)

7.
This entry pairs a crystal structure of Pr2PaRh3O12 with its calculated powder diffractogram. Radiation: a wavelength of 1.5418 Å. Structure: a cell relaxed with GGA-PBE.
Intensities are scaled so that the largest is 100.

Top 8 peaks for 10 to 80 degrees two-theta, by angle:
d 3.504, 2θ 25.4, intensity 38
d 2.982, 2θ 30.0, intensity 25
d 2.932, 2θ 30.5, intensity 100
d 2.839, 2θ 31.5, intensity 86
d 1.893, 2θ 48.1, intensity 30
d 1.867, 2θ 48.8, intensity 33
d 1.752, 2θ 52.2, intensity 38
d 1.675, 2θ 54.8, intensity 29

Lattice parameters (Å, degrees): 7.0089 7.0089 16.0642 90.00 90.00 120.00
Space group R-3m (No. 166, hexagonal axes)
Symmetry-distinct sites (fractional):
Pr 0.0000 0.0000 0.1186 (multiplicity 6)
Pa 0.0000 0.0000 0.5000 (multiplicity 3)
Rh 0.0000 0.5000 0.0000 (multiplicity 9)
O 0.0504 0.5252 0.8773 (multiplicity 18)
O 0.0634 0.5317 0.2922 (multiplicity 18)

8.
This entry pairs a crystal structure of Pa2Pt2O7 with its calculated powder diffractogram. Radiation: a wavelength of 1.5418 Å. Structure: a cell relaxed with GGA-PBE.
Intensities are scaled so that the largest is 100.

Top 8 peaks for 10 to 80 degrees two-theta, by angle:
d 6.149, 2θ 14.4, intensity 2
d 3.075, 2θ 29.0, intensity 100
d 2.663, 2θ 33.7, intensity 38
d 1.883, 2θ 48.3, intensity 48
d 1.606, 2θ 57.4, intensity 46
d 1.537, 2θ 60.2, intensity 11
d 1.331, 2θ 70.8, intensity 8
d 1.222, 2θ 78.2, intensity 19

Lattice parameters (Å, degrees): 10.651 10.651 10.651 90.00 90.00 90.00
Space group Fd-3m (No. 227, origin choice 2)
Symmetry-distinct sites (fractional):
Pa 0.000 0.000 0.000 (multiplicity 16)
Pt 0.000 0.000 0.500 (multiplicity 16)
O 0.123 0.375 0.375 (multiplicity 48)
O 0.125 0.125 0.125 (multiplicity 8)

9.
This entry pairs a crystal structure of PaPtO4 with its calculated powder diffractogram. Radiation: a wavelength of 1.5418 Å. Structure: a cell relaxed with GGA-PBE.
Intensities are scaled so that the largest is 100.

Top 8 peaks for 10 to 80 degrees two-theta, by angle:
d 3.870, 2θ 23.0, intensity 60
d 3.160, 2θ 28.2, intensity 100
d 2.737, 2θ 32.7, intensity 21
d 2.669, 2θ 33.6, intensity 19
d 2.500, 2θ 35.9, intensity 43
d 2.235, 2θ 40.4, intensity 28
d 1.911, 2θ 47.6, intensity 27
d 1.825, 2θ 50.0, intensity 37

Lattice parameters (Å, degrees): 5.475 5.337 5.621 90.00 90.00 90.00
Space group Amm2 (No. 38)
Symmetry-distinct sites (fractional):
Pa 0.000 0.000 0.000 (multiplicity 2)
Pt 0.500 0.000 0.723 (multiplicity 2)
O 0.229 0.244 0.732 (multiplicity 8)

10.
This entry pairs a crystal structure of Pa4Pt3O12 with its calculated powder diffractogram. Radiation: a wavelength of 1.5418 Å. Structure: a cell relaxed with GGA-PBE.
Intensities are scaled so that the largest is 100.

Top 8 peaks for 10 to 80 degrees two-theta, by angle:
d 5.841, 2θ 15.2, intensity 10
d 4.130, 2θ 21.5, intensity 7
d 3.372, 2θ 26.4, intensity 7
d 2.920, 2θ 30.6, intensity 100
d 2.065, 2θ 43.8, intensity 22
d 1.686, 2θ 54.4, intensity 47
d 1.460, 2θ 63.7, intensity 14
d 1.306, 2θ 72.4, intensity 19

Lattice parameters (Å, degrees): 8.260 8.260 8.260 90.00 90.00 90.00
Space group Im-3 (No. 204)
Symmetry-distinct sites (fractional):
Pa 0.250 0.250 0.250 (multiplicity 8)
Pt 0.000 0.000 0.500 (multiplicity 6)
O 0.000 0.308 0.169 (multiplicity 24)

11.
This entry pairs a crystal structure of Pa2PtO6 with its calculated powder diffractogram. Radiation: a wavelength of 1.5418 Å. Structure: a cell relaxed with GGA-PBE.
Intensities are scaled so that the largest is 100.

Top 8 peaks for 10 to 80 degrees two-theta, by angle:
d 4.801, 2θ 18.5, intensity 100
d 3.889, 2θ 22.9, intensity 90
d 3.330, 2θ 26.8, intensity 71
d 3.209, 2θ 27.8, intensity 83
d 2.799, 2θ 32.0, intensity 43
d 2.768, 2θ 32.3, intensity 42
d 2.682, 2θ 33.4, intensity 42
d 2.625, 2θ 34.2, intensity 51

Lattice parameters (Å, degrees): 5.569 5.867 8.958 90.00 111.16 90.00
Space group P2_1/c (No. 14)
Symmetry-distinct sites (fractional):
Pa 0.175 0.148 0.207 (multiplicity 4)
Pt 0.500 0.000 0.000 (multiplicity 2)
O 0.104 0.598 0.866 (multiplicity 4)
O 0.141 0.133 0.940 (multiplicity 4)
O 0.498 0.083 0.778 (multiplicity 4)

12.
This entry pairs a crystal structure of RbPaPtO6 with its calculated powder diffractogram. Radiation: a wavelength of 1.5418 Å. Structure: a cell relaxed with GGA-PBE.
Intensities are scaled so that the largest is 100.

Top 8 peaks for 10 to 80 degrees two-theta, by angle:
d 6.454, 2θ 13.7, intensity 75
d 6.101, 2θ 14.5, intensity 82
d 3.343, 2θ 26.7, intensity 100
d 3.268, 2θ 27.3, intensity 45
d 3.227, 2θ 27.6, intensity 92
d 3.193, 2θ 27.9, intensity 73
d 3.051, 2θ 29.3, intensity 85
d 1.923, 2θ 47.3, intensity 75

Lattice parameters (Å, degrees): 7.349 7.991 10.944 90.00 90.00 90.00
Space group Imma (No. 74)
Symmetry-distinct sites (fractional):
Rb 0.000 0.250 0.119 (multiplicity 4)
Pa 0.000 0.000 0.500 (multiplicity 4)
Pt 0.250 0.250 0.750 (multiplicity 4)
O 0.000 0.250 0.420 (multiplicity 4)
O 0.000 0.250 0.815 (multiplicity 4)
O 0.204 0.074 0.628 (multiplicity 16)